For Rb2SiIBr5, the GGA-PBE geometry in Alexandria gives the calculated X-ray powder pattern in this record (Cu Kα).
Peak positions follow from Bragg's law for the DFT cell and can differ from measured ones.

Principal peaks in the range 10 to 90 degrees two-theta, low angle first:
Position (°2θ)  I_rel  index
14.11  15  1 0 1
28.43  100  2 0 2
32.90  39  2 2 0
33.04  20  0 0 4
47.32  26  2 2 4
56.04  23  4 2 2

```
data_Rb2SiIBr5
_cell_length_a 7.7002
_cell_length_b 7.7002
_cell_length_c 10.8438
_cell_angle_alpha 90.00
_cell_angle_beta 90.00
_cell_angle_gamma 90.00
_space_group_name_H-M_alt 'I 4 m m'
_space_group_IT_number 107
_space_group_name_Hall 'I 4 -2'
loop_
_atom_site_label
_atom_site_type_symbol
_atom_site_fract_x
_atom_site_fract_y
_atom_site_fract_z
Rb1 Rb 0.0000 0.5000 0.0000
Si1 Si 0.0000 0.0000 0.2537
I1 I 0.0000 0.0000 0.0049
Br1 Br 0.0000 0.0000 0.4777
Br2 Br 0.2239 0.2239 0.2521
```